LiMg6Sb: theoretical powder XRD pattern (Cu Kα X-rays), based on a crystal structure in the Materials Project, relaxed with GGA-PBE.
Intensities are scaled so that the largest is 100.

Crystal structure
```
data_LiMg6Sb
_cell_length_a 5.2117
_cell_length_b 6.2304
_cell_length_c 11.1267
_cell_angle_alpha 90.00
_cell_angle_beta 90.00
_cell_angle_gamma 90.00
_symmetry_space_group_name_H-M 'A m m 2'
_symmetry_Int_Tables_number 38
_symmetry_space_group_name_Hall 'A 2 -2'
loop_
_atom_site_label
_atom_site_type_symbol
_atom_site_fract_x
_atom_site_fract_y
_atom_site_fract_z
Li1 Li 0.0000 0.0000 0.0000
Mg1 Mg 0.0000 0.2491 0.2495
Mg2 Mg 0.5000 0.0000 0.1658
Mg3 Mg 0.5000 0.0000 0.6687
Mg4 Mg 0.5000 0.2454 0.9160
Sb1 Sb 0.0000 0.0000 0.4995
```

Main lines, in order of rising 2θ (2θ from 15° to 90°):
Position (°2θ), I_rel, (hkl)
16.31, 84, 0 1 1
23.65, 75, 1 1 1
32.95, 59, 0 2 2
34.42, 41, 2 0 0
36.62, 52, 1 0 4
37.31, 100, 1 2 2